(1)
Dy2ScNiSn3Ir2: computed powder diffractogram (Cu Kα (weighted mean of Kα1 and Kα2)), based on a DFT-relaxed cell (PBE, OQMD).
Kinematic intensities with the Lorentz-polarization factor, no thermal factor.

Most intense lines, 15° ≤ 2θ ≤ 90°, most intense first:
h k l, two_theta, I/Imax
1 0 2, 34.10, 100
1 2 2, 36.86, 78
0 3 3, 41.43, 36
0 4 2, 36.37, 33
2 5 1, 63.18, 23
1 7 3, 67.59, 22
0 5 1, 36.46, 22
2 0 0, 49.73, 22
1 1 3, 44.20, 20
2 3 3, 66.66, 18
1 5 1, 44.28, 12
0 6 0, 41.57, 12

Crystal structure
```
data_Dy2ScNiSn3Ir2
_chemical_formula_sum 'Dy4 Sc2 Ni2 Sn6 Ir4'
_cell_length_a 3.6668
_cell_length_b 13.0345
_cell_length_c 7.5578
_cell_angle_alpha 90.00
_cell_angle_beta 90.00
_cell_angle_gamma 90.00
_symmetry_space_group_name_H-M 'A m m 2'
_symmetry_Int_Tables_number 38
_symmetry_space_group_name_Hall 'A 2 -2'
loop_
_atom_site_label
_atom_site_fract_x
_atom_site_fract_y
_atom_site_fract_z
Dy1 0.0000 0.2032 0.0000
Sc1 0.0000 0.0000 0.3917
Ni1 0.0000 0.0000 0.7944
Sn1 0.5000 0.0000 0.0585
Sn2 0.5000 0.1264 0.6651
Ir1 0.5000 0.1614 0.2998
```


(2)
Dy2TmNiSn3Ir2: computed powder diffractogram (Cu Kα (weighted mean of Kα1 and Kα2)), based on a DFT-relaxed cell (PBE, OQMD).
Kinematic intensities with the Lorentz-polarization factor, no thermal factor.

Most intense lines, 15° ≤ 2θ ≤ 90°, most intense first:
h k l, two_theta, I/Imax
1 3 1, 33.67, 100
1 4 0, 36.43, 73
0 1 3, 36.27, 47
0 6 0, 41.33, 39
1 7 3, 67.09, 27
1 4 2, 43.82, 21
2 0 0, 48.61, 21
2 1 3, 62.14, 20
2 6 0, 65.67, 20
0 7 1, 50.20, 13
1 5 3, 56.26, 12
1 6 4, 70.49, 12

Crystal structure
```
data_Dy2TmNiSn3Ir2
_chemical_formula_sum 'Dy4 Tm2 Ni2 Sn6 Ir4'
_cell_length_a 3.7457
_cell_length_b 13.0955
_cell_length_c 7.5726
_cell_angle_alpha 90.00
_cell_angle_beta 90.00
_cell_angle_gamma 90.00
_symmetry_space_group_name_H-M 'A m m 2'
_symmetry_Int_Tables_number 38
_symmetry_space_group_name_Hall 'A 2 -2'
loop_
_atom_site_label
_atom_site_fract_x
_atom_site_fract_y
_atom_site_fract_z
Dy1 0.0000 0.2034 0.0000
Tm1 0.0000 0.0000 0.3899
Ni1 0.0000 0.0000 0.7953
Sn1 0.5000 0.0000 0.0533
Sn2 0.5000 0.1280 0.6679
Ir1 0.5000 0.1650 0.2974
```


(3)
DyIrSe2O: computed powder diffractogram (Cu Kα (weighted mean of Kα1 and Kα2)), based on a DFT-relaxed cell (PBE, OQMD).
Kinematic intensities with the Lorentz-polarization factor, no thermal factor.

Most intense lines, 15° ≤ 2θ ≤ 90°, most intense first:
h k l, two_theta, I/Imax
3 1 1, 35.33, 100
1 1 -1, 26.68, 72
0 2 0, 47.20, 31
1 1 -2, 33.14, 29
1 1 3, 42.81, 28
4 0 -1, 32.37, 27
2 0 2, 28.19, 23
4 0 0, 30.96, 21
0 0 3, 34.18, 21
3 1 -3, 47.07, 20
3 1 -2, 39.44, 20
5 1 -3, 56.77, 15

Crystal structure
```
data_DyIrSe2O
_chemical_formula_sum 'Dy4 Ir4 Se8 O4'
_cell_length_a 11.5750
_cell_length_b 3.8515
_cell_length_c 7.8843
_cell_angle_alpha 90.00
_cell_angle_beta 93.41
_cell_angle_gamma 90.00
_symmetry_space_group_name_H-M 'C 1 2/m 1'
_symmetry_Int_Tables_number 12
_symmetry_space_group_name_Hall '-C 2y'
loop_
_atom_site_label
_atom_site_fract_x
_atom_site_fract_y
_atom_site_fract_z
Dy1 0.2214 0.0000 0.3096
Ir1 0.0000 0.0000 0.0000
Ir2 0.0000 0.5000 0.5000
Se1 0.0536 0.0000 0.6978
Se2 0.1431 0.5000 0.0137
O1 0.1745 0.5000 0.4359
```


(4)
TbDyP2Ir2S2: computed powder diffractogram (Cu Kα (weighted mean of Kα1 and Kα2)), based on a DFT-relaxed cell (PBE, OQMD).
Kinematic intensities with the Lorentz-polarization factor, no thermal factor.

Most intense lines, 15° ≤ 2θ ≤ 90°, most intense first:
h k l, two_theta, I/Imax
1 1 2, 36.64, 100
1 1 1, 31.48, 51
2 0 0, 42.34, 50
1 0 1, 23.36, 41
1 0 2, 29.81, 32
3 1 2, 73.69, 26
0 0 3, 31.91, 25
2 0 3, 53.98, 23
1 1 4, 53.06, 20
1 1 5, 63.26, 18
2 2 0, 61.42, 16
2 0 6, 82.25, 14

Crystal structure
```
data_TbDyP2Ir2S2
_chemical_formula_sum 'Tb1 Dy1 P2 Ir2 S2'
_cell_length_a 4.2694
_cell_length_b 4.2694
_cell_length_c 8.4144
_cell_angle_alpha 90.00
_cell_angle_beta 90.00
_cell_angle_gamma 90.00
_symmetry_space_group_name_H-M 'P 4 m m'
_symmetry_Int_Tables_number 99
_symmetry_space_group_name_Hall 'P 4 -2'
loop_
_atom_site_label
_atom_site_fract_x
_atom_site_fract_y
_atom_site_fract_z
Tb1 0.0000 0.0000 0.0000
Dy1 0.5000 0.5000 0.6281
P1 0.0000 0.0000 0.4513
P2 0.5000 0.5000 0.1775
Ir1 0.0000 0.5000 0.3145
S1 0.0000 0.5000 0.8128
```


(5)
Tb2DyIrPd2Pb3: computed powder diffractogram (Cu Kα (weighted mean of Kα1 and Kα2)), based on a DFT-relaxed cell (PBE, OQMD).
Kinematic intensities with the Lorentz-polarization factor, no thermal factor.

Most intense lines, 15° ≤ 2θ ≤ 90°, most intense first:
h k l, two_theta, I/Imax
1 4 0, 35.14, 100
1 3 1, 32.50, 88
0 6 0, 39.98, 41
1 7 3, 64.66, 32
1 1 3, 42.31, 30
2 6 0, 63.15, 21
2 0 0, 46.74, 19
2 1 3, 59.76, 17
1 10 0, 74.19, 12
0 8 0, 54.26, 11
1 7 5, 83.32, 10
0 7 3, 59.59, 9

Crystal structure
```
data_Tb2DyIrPd2Pb3
_chemical_formula_sum 'Tb4 Dy2 Ir2 Pd4 Pb6'
_cell_length_a 3.8872
_cell_length_b 13.5272
_cell_length_c 7.8142
_cell_angle_alpha 90.00
_cell_angle_beta 90.00
_cell_angle_gamma 90.00
_symmetry_space_group_name_H-M 'A m m 2'
_symmetry_Int_Tables_number 38
_symmetry_space_group_name_Hall 'A 2 -2'
loop_
_atom_site_label
_atom_site_fract_x
_atom_site_fract_y
_atom_site_fract_z
Tb1 0.0000 0.1981 0.0000
Dy1 0.0000 0.0000 0.4061
Ir1 0.0000 0.0000 0.8013
Pd1 0.5000 0.1662 0.3021
Pb1 0.5000 0.0000 0.0668
Pb2 0.5000 0.1326 0.6692
```


(6)
Pr2DySn3Ir2Pd: computed powder diffractogram (Cu Kα (weighted mean of Kα1 and Kα2)), based on a DFT-relaxed cell (PBE, OQMD).
Kinematic intensities with the Lorentz-polarization factor, no thermal factor.

Most intense lines, 15° ≤ 2θ ≤ 90°, most intense first:
h k l, two_theta, I/Imax
1 3 1, 32.16, 100
1 2 2, 35.00, 62
1 4 0, 35.11, 38
2 0 0, 43.98, 30
0 4 2, 36.40, 28
0 3 3, 41.34, 28
1 7 3, 66.40, 21
1 4 2, 42.70, 20
2 3 3, 61.94, 18
0 1 3, 36.22, 17
2 1 3, 58.29, 17
0 6 0, 41.56, 14

Crystal structure
```
data_Pr2DySn3Ir2Pd
_chemical_formula_sum 'Pr4 Dy2 Sn6 Ir4 Pd2'
_cell_length_a 4.1179
_cell_length_b 13.0372
_cell_length_c 7.5784
_cell_angle_alpha 90.00
_cell_angle_beta 90.00
_cell_angle_gamma 90.00
_symmetry_space_group_name_H-M 'A m m 2'
_symmetry_Int_Tables_number 38
_symmetry_space_group_name_Hall 'A 2 -2'
loop_
_atom_site_label
_atom_site_fract_x
_atom_site_fract_y
_atom_site_fract_z
Pr1 0.0000 0.2068 0.0000
Dy1 0.0000 0.0000 0.6205
Sn1 0.5000 0.0000 0.9497
Sn2 0.5000 0.1277 0.3381
Ir1 0.5000 0.1611 0.7057
Pd1 0.0000 0.0000 0.2140
```


(7)
PmDyIr: computed powder diffractogram (Cu Kα (weighted mean of Kα1 and Kα2)), based on a DFT-relaxed cell (PBE, OQMD).
Kinematic intensities with the Lorentz-polarization factor, no thermal factor.

Most intense lines, 15° ≤ 2θ ≤ 90°, most intense first:
h k l, two_theta, I/Imax
2 2 0, 37.87, 100
4 2 2, 68.38, 36
1 1 1, 22.92, 22
2 0 0, 26.53, 21
4 0 0, 54.63, 17
3 1 1, 44.72, 11
4 4 0, 80.92, 11
4 2 0, 61.73, 8
2 2 2, 46.83, 6
3 3 1, 60.00, 5
6 0 0, 86.99, 4
5 3 1, 85.48, 4

Crystal structure
```
data_PmDyIr
_chemical_formula_sum 'Pm4 Dy4 Ir4'
_cell_length_a 6.7204
_cell_length_b 6.7204
_cell_length_c 6.7204
_cell_angle_alpha 90.00
_cell_angle_beta 90.00
_cell_angle_gamma 90.00
_symmetry_space_group_name_H-M 'F -4 3 m'
_symmetry_Int_Tables_number 216
_symmetry_space_group_name_Hall 'F -4 2 3'
loop_
_atom_site_label
_atom_site_fract_x
_atom_site_fract_y
_atom_site_fract_z
Pm1 0.0000 0.0000 0.0000
Dy1 0.2500 0.2500 0.7500
Ir1 0.2500 0.2500 0.2500
```


(8)
Dy2Si4IrPt: computed powder diffractogram (Cu Kα (weighted mean of Kα1 and Kα2)), based on a DFT-relaxed cell (PBE, OQMD).
Kinematic intensities with the Lorentz-polarization factor, no thermal factor.

Most intense lines, 15° ≤ 2θ ≤ 90°, most intense first:
h k l, two_theta, I/Imax
1 1 1, 30.85, 100
0 1 5, 34.55, 60
1 0 4, 30.09, 51
1 1 3, 34.45, 33
2 1 5, 56.22, 30
2 0 0, 42.91, 28
0 2 0, 44.05, 26
0 0 4, 21.23, 22
1 2 4, 54.27, 20
1 1 5, 40.82, 19
1 0 6, 38.70, 18
1 0 8, 48.58, 18

Crystal structure
```
data_Dy2Si4IrPt
_chemical_formula_sum 'Dy4 Si8 Ir2 Pt2'
_cell_length_a 4.2154
_cell_length_b 4.1114
_cell_length_c 16.7384
_cell_angle_alpha 90.00
_cell_angle_beta 90.00
_cell_angle_gamma 90.00
_symmetry_space_group_name_H-M 'A m m 2'
_symmetry_Int_Tables_number 38
_symmetry_space_group_name_Hall 'A 2 -2'
loop_
_atom_site_label
_atom_site_fract_x
_atom_site_fract_y
_atom_site_fract_z
Dy1 0.0000 0.0000 0.0000
Dy2 0.5000 0.0000 0.2077
Si1 0.0000 0.0000 0.3568
Si2 0.0000 0.0000 0.6361
Si3 0.5000 0.0000 0.5666
Si4 0.5000 0.0000 0.8524
Ir1 0.5000 0.0000 0.4260
Pt1 0.0000 0.0000 0.7775
```


(9)
DyTmSi2Ir: computed powder diffractogram (Cu Kα (weighted mean of Kα1 and Kα2)), based on a DFT-relaxed cell (PBE, OQMD).
Kinematic intensities with the Lorentz-polarization factor, no thermal factor.

Most intense lines, 15° ≤ 2θ ≤ 90°, most intense first:
h k l, two_theta, I/Imax
1 1 2, 34.08, 100
3 1 -3, 37.41, 67
3 1 -2, 33.95, 64
0 2 0, 43.05, 49
3 1 1, 41.51, 46
1 1 -2, 27.77, 46
1 1 0, 23.26, 36
4 0 -1, 35.19, 30
0 0 4, 41.28, 28
7 1 -3, 66.14, 25
3 1 -1, 33.52, 24
3 1 -6, 59.85, 22

Crystal structure
```
data_DyTmSi2Ir
_chemical_formula_sum 'Dy4 Tm4 Si8 Ir4'
_cell_length_a 10.5063
_cell_length_b 4.2024
_cell_length_c 9.9704
_cell_angle_alpha 90.00
_cell_angle_beta 118.67
_cell_angle_gamma 90.00
_symmetry_space_group_name_H-M 'C 1 2/m 1'
_symmetry_Int_Tables_number 12
_symmetry_space_group_name_Hall '-C 2y'
loop_
_atom_site_label
_atom_site_fract_x
_atom_site_fract_y
_atom_site_fract_z
Dy1 0.1850 0.0000 0.1081
Tm1 0.0043 0.0000 0.6764
Si1 0.0114 0.5000 0.8763
Si2 0.1395 0.5000 0.5647
Ir1 0.2275 0.5000 0.3735
```


(10)
DyYSi2Ir: computed powder diffractogram (Cu Kα (weighted mean of Kα1 and Kα2)), based on a DFT-relaxed cell (PBE, OQMD).
Kinematic intensities with the Lorentz-polarization factor, no thermal factor.

Most intense lines, 15° ≤ 2θ ≤ 90°, most intense first:
h k l, two_theta, I/Imax
1 1 2, 33.39, 100
3 1 1, 41.05, 92
3 1 -2, 33.97, 91
0 2 0, 42.53, 71
3 1 -3, 37.30, 57
0 0 3, 29.82, 42
4 0 -1, 35.40, 37
1 1 -1, 23.25, 35
1 1 0, 23.04, 34
1 1 -3, 34.15, 33
1 1 -2, 27.39, 33
4 0 0, 39.00, 33

Crystal structure
```
data_DyYSi2Ir
_chemical_formula_sum 'Dy4 Y4 Si8 Ir4'
_cell_length_a 10.4167
_cell_length_b 4.2498
_cell_length_c 10.1368
_cell_angle_alpha 90.00
_cell_angle_beta 117.52
_cell_angle_gamma 90.00
_symmetry_space_group_name_H-M 'C 1 2/m 1'
_symmetry_Int_Tables_number 12
_symmetry_space_group_name_Hall '-C 2y'
loop_
_atom_site_label
_atom_site_fract_x
_atom_site_fract_y
_atom_site_fract_z
Dy1 0.0049 0.0000 0.3274
Y1 0.1900 0.0000 0.1126
Si1 0.0117 0.5000 0.8839
Si2 0.1470 0.5000 0.5554
Ir1 0.2289 0.5000 0.3443
```


(11)
Dy2Tm2Ir3: computed powder diffractogram (Cu Kα (weighted mean of Kα1 and Kα2)), based on a DFT-relaxed cell (PBE, OQMD).
Kinematic intensities with the Lorentz-polarization factor, no thermal factor.

Most intense lines, 15° ≤ 2θ ≤ 90°, most intense first:
h k l, two_theta, I/Imax
2 0 2, 37.49, 100
0 2 0, 37.85, 98
5 1 1, 68.11, 35
2 2 2, 54.33, 35
1 1 5, 67.42, 18
6 0 -2, 68.35, 17
4 0 4, 80.00, 11
1 1 -1, 22.87, 8
1 1 0, 21.91, 8
6 2 -2, 80.89, 7
2 0 1, 28.77, 5
3 1 -2, 39.60, 5

Crystal structure
```
data_Dy2Tm2Ir3
_chemical_formula_sum 'Dy4 Tm4 Ir6'
_cell_length_a 8.2322
_cell_length_b 4.7561
_cell_length_c 8.3377
_cell_angle_alpha 90.00
_cell_angle_beta 109.28
_cell_angle_gamma 90.00
_symmetry_space_group_name_H-M 'C 1 2/m 1'
_symmetry_Int_Tables_number 12
_symmetry_space_group_name_Hall '-C 2y'
loop_
_atom_site_label
_atom_site_fract_x
_atom_site_fract_y
_atom_site_fract_z
Dy1 0.1250 0.0000 0.3751
Tm1 0.1245 0.5000 0.8738
Ir1 0.0000 0.0000 0.0000
Ir2 0.2491 0.5000 0.2471
```


(12)
KDy: computed powder diffractogram (Cu Kα (weighted mean of Kα1 and Kα2)), based on a DFT-relaxed cell (PBE, OQMD).
Kinematic intensities with the Lorentz-polarization factor, no thermal factor.

Most intense lines, 15° ≤ 2θ ≤ 90°, most intense first:
h k l, two_theta, I/Imax
2 0 0, 25.51, 100
2 2 0, 36.38, 78
1 1 1, 22.04, 64
4 2 0, 59.16, 37
3 1 1, 42.95, 36
2 2 2, 44.96, 28
4 2 2, 65.47, 27
6 0 0, 82.95, 17
3 3 1, 57.52, 16
4 0 0, 52.40, 13
6 2 0, 88.55, 12
5 3 1, 81.54, 12

Crystal structure
```
data_KDy
_chemical_formula_sum 'K4 Dy4'
_cell_length_a 6.9842
_cell_length_b 6.9842
_cell_length_c 6.9842
_cell_angle_alpha 90.00
_cell_angle_beta 90.00
_cell_angle_gamma 90.00
_symmetry_space_group_name_H-M 'F m -3 m'
_symmetry_Int_Tables_number 225
_symmetry_space_group_name_Hall '-F 4 2 3'
loop_
_atom_site_label
_atom_site_fract_x
_atom_site_fract_y
_atom_site_fract_z
K1 0.0000 0.0000 0.0000
Dy1 0.0000 0.0000 0.5000
```